(1)
For NdSm3Y8, a structure optimized by DFT (PBE) gives the calculated X-ray powder pattern in this record (CuKα).
Neutral-atom scattering factors, no anomalous dispersion.

Cell and atoms:
Unit cell a=6.361 b=8.535 c=8.546 alpha=84.23 beta=68.17 gamma=68.21
Space group P1 (No. 1)
One atom of each set of equivalent atoms:
Nd1 0.000 0.000 0.000 [1 per cell]
Sm1 0.000 0.500 0.500 [1 per cell]
Sm2 0.330 0.249 0.749 [1 per cell]
Sm3 0.330 0.748 0.250 [1 per cell]
Y1 0.332 0.166 0.167 [1 per cell]
Y2 0.333 0.665 0.666 [1 per cell]
Y3 0.664 0.416 0.916 [1 per cell]
Y4 0.664 0.915 0.417 [1 per cell]
Y5 0.665 0.334 0.334 [1 per cell]
Y6 0.666 0.833 0.833 [1 per cell]
Y7 0.997 0.084 0.582 [1 per cell]
Y8 0.997 0.582 0.084 [1 per cell]

Largest 8 diffraction maxima, sorted by position, 5° ≤ 2θ ≤ 70°:
| h k l | Position (°2θ) | I/Imax |
| --- | --- | --- |
| -1 1 1 | 28.10 | 18.5 |
| 0 2 -2 | 31.23 | 28.9 |
| 2 2 0 | 32.24 | 100.0 |
| 1 3 1 | 32.31 | 19.4 |
| 1 0 4 | 42.51 | 15.1 |
| 3 3 3 | 49.71 | 15.5 |
| 2 4 -2 | 56.22 | 20.1 |
| 3 5 1 | 59.88 | 17.5 |

***

(2)
For La2Pm3Tl3, a structure optimized by DFT (PBE) gives the calculated X-ray powder pattern in this record (CuKα).
Neutral-atom scattering factors, no anomalous dispersion.

Cell and atoms:
Unit cell a=4.596 b=5.049 c=21.230 alpha=90.00 beta=90.00 gamma=90.00
Space group Immm (No. 71)
One atom of each set of equivalent atoms:
La1 0.000 0.000 0.239 [4 per cell]
Pm1 0.000 0.000 0.000 [2 per cell]
Pm2 0.000 0.500 0.117 [4 per cell]
Tl1 0.000 0.000 0.500 [2 per cell]
Tl2 0.000 0.500 0.376 [4 per cell]

Largest 8 diffraction maxima, sorted by position, 5° ≤ 2θ ≤ 70°:
| h k l | Position (°2θ) | I/Imax |
| --- | --- | --- |
| 1 1 4 | 31.25 | 100.0 |
| 0 0 8 | 33.78 | 18.9 |
| 0 2 0 | 35.55 | 20.4 |
| 2 0 0 | 39.21 | 13.9 |
| 0 2 8 | 49.86 | 12.7 |
| 1 1 12 | 58.85 | 13.7 |
| 1 3 4 | 61.19 | 14.9 |
| 3 1 4 | 66.13 | 11.8 |

***

(3)
For Li2PrGaSe4, a structure optimized by DFT (PBE) gives the calculated X-ray powder pattern in this record (CuKα).
Neutral-atom scattering factors, no anomalous dispersion.

Cell and atoms:
Unit cell a=7.972 b=7.974 c=8.205 alpha=117.09 beta=117.08 gamma=90.23
Space group P1 (No. 1)
One atom of each set of equivalent atoms:
Li1 0.000 0.000 0.000 [1 per cell]
Li2 0.008 0.490 0.492 [1 per cell]
Li3 0.129 0.612 0.189 [1 per cell]
Li4 0.620 0.620 0.681 [1 per cell]
Pr1 0.059 0.042 0.578 [1 per cell]
Pr2 0.578 0.561 0.104 [1 per cell]
Ga1 0.456 0.071 0.492 [1 per cell]
Ga2 0.550 0.164 0.188 [1 per cell]
Se1 0.265 0.306 0.068 [1 per cell]
Se2 0.315 0.355 0.613 [1 per cell]
Se3 0.339 0.870 0.100 [1 per cell]
Se4 0.375 0.849 0.586 [1 per cell]
Se5 0.751 0.281 0.580 [1 per cell]
Se6 0.771 0.246 0.095 [1 per cell]
Se7 0.834 0.759 0.576 [1 per cell]
Se8 0.861 0.786 0.105 [1 per cell]

Largest 8 diffraction maxima, sorted by position, 5° ≤ 2θ ≤ 70°:
| h k l | Position (°2θ) | I/Imax |
| --- | --- | --- |
| 1 0 0 | 12.94 | 35.3 |
| 1 0 -1 | 13.39 | 65.3 |
| 1 -2 1 | 26.06 | 50.9 |
| 0 0 2 | 28.48 | 100.0 |
| 2 -2 0 | 31.68 | 58.6 |
| 2 2 -2 | 31.85 | 62.2 |
| 2 -2 2 | 43.11 | 54.7 |
| 2 2 -4 | 44.46 | 39.0 |

***

(4)
For IrRu5, a structure optimized by DFT (PBE) gives the calculated X-ray powder pattern in this record (CuKα).
Neutral-atom scattering factors, no anomalous dispersion.

Cell and atoms:
Unit cell a=3.813 b=8.152 c=5.422 alpha=90.00 beta=90.15 gamma=90.00
Space group P2_1/m (No. 11)
One atom of each set of equivalent atoms:
Ir1 0.250 0.250 0.125 [2 per cell]
Ru1 0.250 0.250 0.626 [2 per cell]
Ru2 0.250 0.582 0.624 [4 per cell]
Ru3 0.250 0.584 0.127 [4 per cell]

Largest 8 diffraction maxima, sorted by position, 5° ≤ 2θ ≤ 70°:
| h k l | Position (°2θ) | I/Imax |
| --- | --- | --- |
| 1 3 0 | 40.78 | 100.0 |
| 1 0 2 | 40.90 | 33.1 |
| 0 3 2 | 47.37 | 43.2 |
| 2 0 0 | 47.71 | 21.5 |
| 0 6 0 | 69.14 | 6.8 |
| 0 0 4 | 69.33 | 6.8 |
| 2 3 -2 | 69.43 | 13.6 |
| 2 3 2 | 69.58 | 13.4 |

***

(5)
For Th6InPb10, a structure optimized by DFT (PBE) gives the calculated X-ray powder pattern in this record (CuKα).
Neutral-atom scattering factors, no anomalous dispersion.

Cell and atoms:
Unit cell a=9.6228 b=9.6228 c=6.4842 alpha=90.00 beta=90.00 gamma=120.00
Space group P-31m (No. 162)
One atom of each set of equivalent atoms:
Th1 0.0000 0.3855 0.2608 [6 per cell]
In1 0.0000 0.0000 0.5000 [1 per cell]
Pb1 0.0000 0.2634 0.7790 [6 per cell]
Pb2 0.3333 0.6667 0.0000 [2 per cell]
Pb3 0.3333 0.6667 0.5000 [2 per cell]

Largest 8 diffraction maxima, sorted by position, 5° ≤ 2θ ≤ 70°:
| h k l | Position (°2θ) | I/Imax |
| --- | --- | --- |
| 2 1 0 | 28.33 | 15.7 |
| 3 -1 1 | 31.58 | 87.2 |
| 3 0 0 | 32.22 | 81.6 |
| 1 1 2 | 33.32 | 100.0 |
| 4 -1 1 | 41.48 | 21.7 |
| 4 -2 2 | 47.04 | 25.7 |
| 3 -1 3 | 51.26 | 19.1 |
| 3 0 4 | 66.82 | 17.8 |

***

(6)
For Li2PrSeN, a structure optimized by DFT (PBE) gives the calculated X-ray powder pattern in this record (CuKα).
Neutral-atom scattering factors, no anomalous dispersion.

Cell and atoms:
Unit cell a=6.036 b=6.036 c=9.683 alpha=90.00 beta=90.00 gamma=90.00
Space group I4cm (No. 108)
One atom of each set of equivalent atoms:
Li1 0.192 0.308 0.000 [8 per cell]
Pr1 0.000 0.000 0.250 [4 per cell]
Se1 0.000 0.500 0.251 [4 per cell]
N1 0.000 0.000 0.000 [4 per cell]

Largest 8 diffraction maxima, sorted by position, 5° ≤ 2θ ≤ 70°:
| h k l | Position (°2θ) | I/Imax |
| --- | --- | --- |
| 0 0 2 | 18.32 | 100.0 |
| 2 0 0 | 29.60 | 84.5 |
| 2 0 2 | 35.03 | 96.1 |
| 0 0 4 | 37.14 | 26.4 |
| 2 2 0 | 42.35 | 34.9 |
| 2 2 2 | 46.50 | 38.5 |
| 2 0 4 | 48.19 | 42.5 |
| 2 2 4 | 57.58 | 27.7 |

***

(7)
For KVSe2, a structure optimized by DFT (PBE) gives the calculated X-ray powder pattern in this record (CuKα).
Neutral-atom scattering factors, no anomalous dispersion.

Cell and atoms:
Unit cell a=7.306 b=5.706 c=7.308 alpha=90.00 beta=90.07 gamma=90.00
Space group P2/m (No. 10)
One atom of each set of equivalent atoms:
K1 0.000 0.000 0.000 [1 per cell]
K2 0.500 0.500 0.500 [1 per cell]
V1 0.000 0.250 0.500 [2 per cell]
Se1 0.103 0.500 0.740 [2 per cell]
Se2 0.240 0.000 0.398 [2 per cell]

Largest 8 diffraction maxima, sorted by position, 5° ≤ 2θ ≤ 70°:
| h k l | Position (°2θ) | I/Imax |
| --- | --- | --- |
| 1 0 0 | 12.11 | 100.0 |
| 1 1 1 | 23.22 | 27.5 |
| 2 0 1 | 27.29 | 10.2 |
| 0 1 2 | 29.02 | 17.6 |
| 2 1 -1 | 31.55 | 49.0 |
| 1 0 -3 | 38.98 | 11.2 |
| 2 2 1 | 42.04 | 21.2 |
| 1 2 -3 | 50.85 | 17.2 |

***

(8)
For Tb2FePt, a structure optimized by DFT (PBE) gives the calculated X-ray powder pattern in this record (CuKα).
Neutral-atom scattering factors, no anomalous dispersion.

Cell and atoms:
Unit cell a=3.472 b=3.472 c=6.847 alpha=90.00 beta=90.00 gamma=90.00
Space group P4/mmm (No. 123)
One atom of each set of equivalent atoms:
Tb1 0.000 0.000 0.245 [2 per cell]
Fe1 0.500 0.500 0.000 [1 per cell]
Pt1 0.500 0.500 0.500 [1 per cell]

Largest 8 diffraction maxima, sorted by position, 5° ≤ 2θ ≤ 70°:
| h k l | Position (°2θ) | I/Imax |
| --- | --- | --- |
| 0 0 1 | 12.93 | 13.6 |
| 1 0 1 | 28.83 | 11.9 |
| 1 1 0 | 36.60 | 51.1 |
| 1 0 2 | 36.87 | 100.0 |
| 2 0 0 | 52.73 | 17.9 |
| 0 0 4 | 53.53 | 8.5 |
| 2 1 2 | 66.08 | 36.2 |
| 1 1 4 | 66.60 | 17.5 |